Tl2GePdO4: simulated powder diffraction line list (Cu Kα (λ = 1.5418 Å)), based on the PBE geometry in Alexandria.
No peak broadening, texture or thermal motion is included.

Most intense lines, 2θ from 10° to 90°, sorted by position:
2θ (°)  d [Å]  I_rel  (hkl)
17.36  5.107  49  1 1 1
21.60  4.114  91  1 1 3
28.31  3.153  29  1 1 5
28.55  3.127  48  0 4 0
29.66  3.012  43  1 3 3
30.84  2.899  100  0 2 6
33.89  2.645  71  2 2 0
34.95  2.567  22  1 3 5
41.46  2.178  34  2 0 6
51.11  1.787  53  2 4 6
52.02  1.758  22  0 6 6
54.06  1.696  23  2 6 0

Atomic structure:
a = 5.837 Å, b = 12.508 Å, c = 19.633 Å
α = 90.00°, β = 90.00°, γ = 90.00°
Space group Fddd (No. 70, origin choice 2)
Inequivalent atoms, fractional coordinates:
1 Tl 0.125 0.125 0.299
2 Ge 0.125 0.125 0.625
3 Pd 0.125 0.125 0.125
4 O 0.101 0.274 0.866

***

Pm4Ge6O19: simulated powder diffraction line list (Cu Kα (λ = 1.5418 Å)), based on the PBE geometry in Alexandria.
No peak broadening, texture or thermal motion is included.

Most intense lines, 2θ from 10° to 90°, sorted by position:
2θ (°)  d [Å]  I_rel  (hkl)
24.86  3.582  100  2 1 1
32.27  2.774  75  3 1 0
35.44  2.533  18  2 2 2
38.39  2.345  38  3 2 1
43.78  2.068  60  3 3 0
50.99  1.791  23  4 2 2
53.24  1.721  26  4 1 3
57.54  1.602  22  5 2 1
61.64  1.505  12  5 0 3
63.63  1.462  32  6 0 0
73.16  1.294  14  6 3 1
80.43  1.194  20  6 3 3

Atomic structure:
a = 8.774 Å, b = 8.774 Å, c = 8.774 Å
α = 90.00°, β = 90.00°, γ = 90.00°
Space group I23 (No. 197)
Inequivalent atoms, fractional coordinates:
1 Pm 0.161 0.161 0.839
2 Ge 0.000 0.337 0.500
3 O 0.000 0.000 0.000
4 O 0.000 0.000 0.350
5 O 0.041 0.329 0.289

***

Pm5Ge2O2: simulated powder diffraction line list (Cu Kα (λ = 1.5418 Å)), based on the PBE geometry in Alexandria.
No peak broadening, texture or thermal motion is included.

Most intense lines, 2θ from 10° to 90°, sorted by position:
2θ (°)  d [Å]  I_rel  (hkl)
27.01  3.301  18  0 0 2
27.76  3.213  31  4 0 -1
28.04  3.183  62  3 1 -1
29.02  3.077  19  4 0 0
31.33  2.855  100  1 1 -2
34.29  2.615  84  3 1 1
35.99  2.496  57  0 2 0
42.12  2.145  24  4 0 -3
43.84  2.065  28  6 0 -2
48.19  1.888  23  2 0 3
61.60  1.506  27  2 2 3
66.72  1.402  18  7 1 -4

Atomic structure:
a = 13.001 Å, b = 4.991 Å, c = 6.973 Å
α = 90.00°, β = 108.78°, γ = 90.00°
Space group C2/m (No. 12)
Inequivalent atoms, fractional coordinates:
1 Pm 0.000 0.000 0.000
2 Pm 0.156 0.500 0.902
3 Pm 0.157 0.000 0.550
4 Ge 0.095 0.500 0.295
5 O 0.161 0.000 0.885

***

Pm5Ge3O: simulated powder diffraction line list (Cu Kα (λ = 1.5418 Å)), based on the PBE geometry in Alexandria.
No peak broadening, texture or thermal motion is included.

Most intense lines, 2θ from 10° to 90°, sorted by position:
2θ (°)  d [Å]  I_rel  (hkl)
27.49  3.245  11  0 0 2
29.96  2.983  29  1 0 2
31.26  2.862  38  2 1 0
34.25  2.618  100  2 1 1
34.42  2.606  75  1 1 2
35.57  2.524  29  3 0 0
50.34  1.813  23  2 2 2
53.07  1.726  29  2 1 3
55.63  1.652  18  4 1 0
56.27  1.635  16  4 0 2
68.36  1.372  18  5 0 2
83.51  1.158  11  4 1 4

Atomic structure:
a = 8.7425 Å, b = 8.7425 Å, c = 6.4899 Å
α = 90.00°, β = 90.00°, γ = 120.00°
Space group P6_3/mcm (No. 193)
Inequivalent atoms, fractional coordinates:
1 Pm 0.0000 0.2296 0.2500
2 Pm 0.3333 0.6667 0.0000
3 Ge 0.0000 0.3984 0.7500
4 O 0.0000 0.0000 0.0000

***

Pm6Ge3O: simulated powder diffraction line list (Cu Kα (λ = 1.5418 Å)), based on the PBE geometry in Alexandria.
No peak broadening, texture or thermal motion is included.

Most intense lines, 2θ from 10° to 90°, sorted by position:
2θ (°)  d [Å]  I_rel  (hkl)
28.01  3.186  72  1 2 -2
28.73  3.108  82  0 2 2
29.67  3.011  82  1 0 2
29.82  2.997  85  2 1 -2
31.24  2.863  99  2 1 -3
31.82  2.812  100  1 2 1
32.05  2.793  55  1 2 -3
32.15  2.784  55  1 1 -4
35.01  2.563  49  0 2 3
36.95  2.433  74  1 3 -1
38.01  2.367  41  1 3 0
48.31  1.884  47  1 4 -1

Atomic structure:
a = 6.482 Å, b = 7.873 Å, c = 11.947 Å
α = 90.00°, β = 122.05°, γ = 90.00°
Space group P2_1/c (No. 14)
Inequivalent atoms, fractional coordinates:
1 Pm 0.096 0.047 0.235
2 Pm 0.198 0.705 0.061
3 Pm 0.387 0.163 0.058
4 Ge 0.318 0.111 0.748
5 Ge 0.500 0.000 0.500
6 O 0.000 0.000 0.000

***

PmGe2O5: simulated powder diffraction line list (Cu Kα (λ = 1.5418 Å)), based on the PBE geometry in Alexandria.
No peak broadening, texture or thermal motion is included.

Most intense lines, 2θ from 10° to 90°, sorted by position:
2θ (°)  d [Å]  I_rel  (hkl)
14.71  6.021  52  0 2 0
22.80  3.901  95  0 2 1
28.25  3.159  39  0 3 1
30.40  2.940  44  1 0 1
31.32  2.856  100  1 1 1
33.48  2.676  80  1 3 0
34.56  2.595  50  0 4 1
46.08  1.970  37  1 2 2
50.86  1.795  25  2 0 0
53.46  1.714  33  1 4 2
60.01  1.542  25  1 0 3
62.56  1.485  26  1 7 1

Atomic structure:
a = 3.591 Å, b = 12.042 Å, c = 5.120 Å
α = 90.00°, β = 90.00°, γ = 90.00°
Space group Pmmn (No. 59, origin choice 2)
Inequivalent atoms, fractional coordinates:
1 Pm 0.250 0.250 0.087
2 Ge 0.250 0.602 0.429
3 O 0.250 0.080 0.433
4 O 0.250 0.636 0.094
5 O 0.250 0.750 0.586

***

Pm3Ge2O: simulated powder diffraction line list (Cu Kα (λ = 1.5418 Å)), based on the PBE geometry in Alexandria.
No peak broadening, texture or thermal motion is included.

Most intense lines, 2θ from 10° to 90°, sorted by position:
2θ (°)  d [Å]  I_rel  (hkl)
25.77  3.457  41  2 0 3
26.40  3.376  94  1 1 2
29.34  3.044  38  2 0 4
30.55  2.927  92  2 1 1
31.20  2.867  45  3 0 1
31.59  2.832  51  0 0 6
31.91  2.804  100  2 1 2
32.19  2.781  45  1 1 4
34.42  2.605  43  0 1 5
35.97  2.496  44  1 1 5
36.92  2.435  37  2 1 4
44.67  2.028  61  0 2 0

Atomic structure:
a = 8.725 Å, b = 4.057 Å, c = 16.995 Å
α = 90.00°, β = 90.00°, γ = 90.00°
Space group Pnma (No. 62)
Inequivalent atoms, fractional coordinates:
1 Pm 0.005 0.250 0.106
2 Pm 0.137 0.250 0.576
3 Pm 0.172 0.750 0.269
4 Ge 0.084 0.750 0.718
5 Ge 0.245 0.750 0.457
6 O 0.125 0.750 0.134